# 1
Computed powder XRD pattern of CaFeGe2 for copper Kα, from a structure optimized by DFT (GGA-PBE).
Lines closer than 0.1° are merged.

Most intense lines, 2θ from 10° to 90°, by angle:
d 4.191, 2θ 21.2, I = 57, hkl 1 0 2; d 2.701, 2θ 33.2, I = 100, hkl 2 1 0; d 2.454, 2θ 36.6, I = 77, hkl 1 1 3; d 2.119, 2θ 42.7, I = 69, hkl 2 1 3; d 2.015, 2θ 45.0, I = 58, hkl 0 2 0; d 1.926, 2θ 47.2, I = 45, hkl 3 1 2

Structure:
Unit cell a=7.279 b=4.030 c=10.252 alpha=90.00 beta=90.00 gamma=90.00
Space group Pnma (No. 62)
Unique sites:
Ca 0.148 0.250 0.128 (multiplicity 4)
Fe 0.010 0.750 0.389 (multiplicity 4)
Ge 0.159 0.250 0.810 (multiplicity 4)
Ge 0.194 0.250 0.434 (multiplicity 4)

# 2
Computed powder XRD pattern of CaFe2Ge7 for copper Kα, from a structure optimized by DFT (GGA-PBE).
Lines closer than 0.1° are merged.

Most intense lines, 2θ from 10° to 90°, by angle:
d 4.572, 2θ 19.4, I = 92, hkl 0 0 1; d 3.091, 2θ 28.9, I = 53, hkl 2 0 1; d 2.697, 2θ 33.2, I = 42, hkl 3 1 0; d 2.594, 2θ 34.6, I = 59, hkl 1 3 1; d 2.286, 2θ 39.4, I = 77, hkl 0 0 2; d 1.967, 2θ 46.2, I = 100, hkl 2 4 1

Structure:
Unit cell a=8.390 b=10.198 c=4.572 alpha=90.00 beta=90.00 gamma=90.00
Space group Cmmm (No. 65)
Unique sites:
Ca 0.000 0.000 0.000 (multiplicity 2)
Fe 0.000 0.281 0.500 (multiplicity 4)
Ge 0.000 0.345 0.000 (multiplicity 4)
Ge 0.000 0.500 0.500 (multiplicity 2)
Ge 0.211 0.124 0.500 (multiplicity 8)